(1)
# Rb4Nb2Si8O23
Computed powder XRD pattern, Cu Kα, 1.54184 Å. Input: a DFT-relaxed cell (GGA-PBE, Alexandria).

The 8 most intense peaks (5 to 70 degrees two-theta), sorted by position:
2θ = 24.26°, intensity 1000, (0 2 0)
2θ = 25.70°, intensity 214, (2 1 0)
2θ = 26.92°, intensity 816, (1 1 3)
2θ = 27.28°, intensity 292, (1 0 -3)
2θ = 29.18°, intensity 260, (-1 1 3)
2θ = 29.94°, intensity 604, (2 2 0)
2θ = 30.66°, intensity 444, (1 1 -3)
2θ = 35.33°, intensity 353, (1 -1 3)

Crystal structure
Lattice parameters (Å, degrees): 6.996 7.986 11.217 76.10 89.10 71.53
Space group P-1 (No. 2)
Unique sites:
Rb  0.184  0.282  0.356
Rb  0.209  0.229  0.009
Nb  0.285  0.740  0.814
Si  0.003  0.192  0.701
Si  0.334  0.676  0.129
Si  0.342  0.701  0.499
Si  0.450  0.128  0.717
O  0.045  0.976  0.753
O  0.121  0.604  0.849
O  0.122  0.722  0.435
O  0.123  0.695  0.202
O  0.210  0.247  0.679
O  0.283  0.787  0.986
O  0.315  0.733  0.634
O  0.431  0.853  0.412
O  0.447  0.460  0.146
O  0.471  0.770  0.192
O  0.484  0.919  0.781
O  0.500  0.500  0.500



(2)
# RbNbTcO6
Computed powder XRD pattern, Cu Kα, 1.54184 Å. Input: a DFT-relaxed cell (GGA-PBE, Alexandria).

The 8 most intense peaks (5 to 70 degrees two-theta), sorted by position:
2θ = 14.12°, intensity 1000, (0 0 1)
2θ = 23.23°, intensity 688, (1 0 -1)
2θ = 24.00°, intensity 926, (0 1 1)
2θ = 24.18°, intensity 671, (1 -1 1)
2θ = 24.35°, intensity 316, (-1 1 1)
2θ = 28.47°, intensity 300, (0 0 2)
2θ = 32.32°, intensity 341, (1 1 0)
2θ = 42.60°, intensity 361, (1 1 -2)

Crystal structure
Lattice parameters (Å, degrees): 5.293 5.317 6.276 91.65 90.94 116.97
Space group P1 (No. 1)
Unique sites:
Rb  0.000  0.000  0.000
Nb  0.343  0.683  0.456
Tc  0.669  0.329  0.534
O  0.406  0.019  0.678
O  0.430  0.405  0.315
O  0.571  0.580  0.689
O  0.614  0.015  0.323
O  0.994  0.615  0.329
O  0.995  0.400  0.670



(3)
# RbNbTeO6
Computed powder XRD pattern, Cu Kα, 1.54184 Å. Input: a DFT-relaxed cell (GGA-PBE, Alexandria).

The 8 most intense peaks (5 to 70 degrees two-theta), sorted by position:
2θ = 14.61°, intensity 479, (0 1 1)
2θ = 28.24°, intensity 1000, (0 1 3)
2θ = 28.37°, intensity 312, (1 0 3)
2θ = 28.49°, intensity 837, (2 1 1)
2θ = 29.46°, intensity 494, (0 2 2)
2θ = 29.81°, intensity 498, (2 0 2)
2θ = 49.36°, intensity 570, (2 2 4)
2θ = 58.33°, intensity 255, (2 4 2)

Crystal structure
Lattice parameters (Å, degrees): 7.317 7.445 10.453 90.00 90.00 90.00
Space group Imma (No. 74)
Unique sites:
Rb  0.000  0.250  0.126
Nb  0.000  0.000  0.500
Te  0.250  0.250  0.750
O  0.000  0.250  0.436
O  0.000  0.250  0.822
O  0.196  0.063  0.628